Record 1
For Ca4Cu2Au5, a crystal structure in Alexandria, relaxed with PBE gives the simulated powder XRD pattern in this record (CuKα).

Structural model:
abc: 7.2393 4.1054 8.4025
angles: 90.00 91.23 90.00
Space group P2/m (No. 10)
Unique sites:
1 Ca 0.2189 0.0000 0.3693 (multiplicity 2)
2 Ca 0.2535 0.0000 0.8936 (multiplicity 2)
3 Cu 0.0775 0.5000 0.1257 (multiplicity 2)
4 Au 0.1360 0.5000 0.6338 (multiplicity 2)
5 Au 0.4344 0.5000 0.1601 (multiplicity 2)
6 Au 0.5000 0.5000 0.5000 (multiplicity 1)

Main lines, sorted by position (5° ≤ 2θ ≤ 70°):
2θ = 21.65°, I 100; 2θ = 32.74°, I 29; 2θ = 33.00°, I 34; 2θ = 33.10°, I 43; 2θ = 34.58°, I 37; 2θ = 34.90°, I 19; 2θ = 41.18°, I 29; 2θ = 44.12°, I 30; 2θ = 44.68°, I 17; 2θ = 46.20°, I 17

Record 2
For Ca2CuAu6, a crystal structure in Alexandria, relaxed with PBE gives the simulated powder XRD pattern in this record (CuKα).

Structural model:
abc: 10.2603 5.9252 6.0959
angles: 90.00 90.10 90.00
Space group C2/m (No. 12)
Unique sites:
1 Ca 0.1668 0.0000 0.1509 (multiplicity 4)
2 Cu 0.0000 0.5000 0.0000 (multiplicity 2)
3 Au 0.0867 0.2395 0.6892 (multiplicity 8)
4 Au 0.1737 0.5000 0.3118 (multiplicity 4)

Main lines, sorted by position (5° ≤ 2θ ≤ 70°):
2θ = 14.53°, I 16; 2θ = 22.65°, I 28; 2θ = 29.30°, I 20; 2θ = 33.64°, I 9; 2θ = 34.22°, I 14; 2θ = 34.98°, I 18; 2θ = 38.06°, I 100; 2θ = 44.59°, I 11; 2θ = 46.26°, I 36; 2θ = 62.73°, I 19

Record 3
For Ca3CuAu, a crystal structure in Alexandria, relaxed with PBE gives the simulated powder XRD pattern in this record (CuKα).

Structural model:
abc: 15.9862 4.1355 8.4371
angles: 90.00 90.57 90.00
Space group C2/m (No. 12)
Unique sites:
1 Ca 0.0514 0.0000 0.1847 (multiplicity 4)
2 Ca 0.1050 0.5000 0.5667 (multiplicity 4)
3 Ca 0.2407 0.0000 0.8171 (multiplicity 4)
4 Cu 0.2155 0.0000 0.4445 (multiplicity 4)
5 Au 0.1010 0.5000 0.9294 (multiplicity 4)

Main lines, sorted by position (5° ≤ 2θ ≤ 70°):
2θ = 10.49°, I 76; 2θ = 15.35°, I 84; 2θ = 22.21°, I 60; 2θ = 24.61°, I 88; 2θ = 29.25°, I 76; 2θ = 33.65°, I 42; 2θ = 34.62°, I 41; 2θ = 35.48°, I 100; 2θ = 39.18°, I 59; 2θ = 43.78°, I 34